Entry 1:
The following is a calculated X-ray diffraction stick pattern of NaMg2Cd5. It was derived from a DFT-relaxed cell (GGA-PBE, Alexandria), using a wavelength of 1.5418 Å.
Neutral-atom scattering factors, no anomalous dispersion.

The 6 most intense peaks (2θ from 5° to 70°), low angle first:
21.8°, intensity 27, hkl 4 0 0
26.8°, intensity 34, hkl 1 1 -1
34.6°, intensity 100, hkl 3 1 1
35.0°, intensity 97, hkl 5 1 -1
38.2°, intensity 76, hkl 0 2 0
44.4°, intensity 32, hkl 8 0 0

Atomic structure:
```
data_NaMg2Cd5
_symmetry_space_group_name_H-M 'C 1 2/m 1'
_symmetry_Int_Tables_number 12
_symmetry_space_group_name_Hall '-C 2y'
_cell_length_a 16.8964
_cell_length_b 4.7041
_cell_length_c 4.7103
_cell_angle_alpha 90.00
_cell_angle_beta 105.15
_cell_angle_gamma 90.00
loop_
_atom_site_label
_atom_site_type_symbol
_atom_site_fract_x
_atom_site_fract_y
_atom_site_fract_z
_atom_site_occupancy
Na1 Na 0.0000 0.0000 0.0000 1
Mg1 Mg 0.2491 0.0000 0.2478 1
Cd1 Cd 0.0000 0.5000 0.5000 1
Cd2 Cd 0.1299 0.0000 0.6316 1
Cd3 Cd 0.1300 0.5000 0.1307 1
```

=====

Entry 2:
The following is a calculated X-ray diffraction stick pattern of MgZn3. It was derived from a DFT-relaxed cell (GGA-PBE, Alexandria), using a wavelength of 1.5418 Å.
Neutral-atom scattering factors, no anomalous dispersion.

The 6 most intense peaks (2θ from 5° to 70°), low angle first:
20.1°, intensity 98, hkl 1 1 0
40.1°, intensity 66, hkl 3 1 1
40.8°, intensity 67, hkl 3 1 -3
41.0°, intensity 63, hkl 0 2 2
42.3°, intensity 71, hkl 0 0 4
44.0°, intensity 100, hkl 2 2 1

Atomic structure:
```
data_MgZn3
_symmetry_space_group_name_H-M 'C 1 2/m 1'
_symmetry_Int_Tables_number 12
_symmetry_space_group_name_Hall '-C 2y'
_cell_length_a 9.1095
_cell_length_b 5.1395
_cell_length_c 9.0109
_cell_angle_alpha 90.00
_cell_angle_beta 108.59
_cell_angle_gamma 90.00
loop_
_atom_site_label
_atom_site_type_symbol
_atom_site_fract_x
_atom_site_fract_y
_atom_site_fract_z
_atom_site_occupancy
Mg1 Mg 0.0000 0.0000 0.0000 1
Mg2 Mg 0.1409 0.0000 0.4263 1
Zn1 Zn 0.0000 0.5000 0.5000 1
Zn2 Zn 0.0845 0.5000 0.2525 1
Zn3 Zn 0.1658 0.5000 0.9988 1
Zn4 Zn 0.1683 0.2472 0.7451 1
```

=====

Entry 3:
The following is a calculated X-ray diffraction stick pattern of Tb2Zn2Ga3. It was derived from a DFT-relaxed cell (GGA-PBE, Alexandria), using a wavelength of 1.5418 Å.
Neutral-atom scattering factors, no anomalous dispersion.

The 6 most intense peaks (2θ from 5° to 70°), low angle first:
33.6°, intensity 76, hkl 1 1 2
34.3°, intensity 100, hkl 1 5 1
41.9°, intensity 34, hkl 2 0 0
43.8°, intensity 31, hkl 0 4 3
56.0°, intensity 20, hkl 1 9 2
62.2°, intensity 21, hkl 2 4 3

Atomic structure:
```
data_Tb2Zn2Ga3
_symmetry_space_group_name_H-M 'C m c m'
_symmetry_Int_Tables_number 63
_symmetry_space_group_name_Hall '-C 2c 2'
_cell_length_a 4.3142
_cell_length_b 18.6314
_cell_length_c 6.9175
_cell_angle_alpha 90.00
_cell_angle_beta 90.00
_cell_angle_gamma 90.00
loop_
_atom_site_label
_atom_site_type_symbol
_atom_site_fract_x
_atom_site_fract_y
_atom_site_fract_z
_atom_site_occupancy
Tb1 Tb 0.0000 0.0498 0.2500 1
Tb2 Tb 0.0000 0.1575 0.7500 1
Zn1 Zn 0.0000 0.3149 0.5621 1
Ga1 Ga 0.0000 0.2232 0.2500 1
Ga2 Ga 0.0000 0.4399 0.0708 1
```

=====

Entry 4:
The following is a calculated X-ray diffraction stick pattern of Sm4Dy3Ho5. It was derived from a DFT-relaxed cell (GGA-PBE, Alexandria), using a wavelength of 1.5418 Å.
Neutral-atom scattering factors, no anomalous dispersion.

The 6 most intense peaks (2θ from 5° to 70°), low angle first:
30.8°, intensity 100, hkl 2 0 1
35.7°, intensity 51, hkl 1 2 2
51.3°, intensity 24, hkl 3 2 0
51.3°, intensity 12, hkl 2 0 4
61.0°, intensity 25, hkl 4 0 -1
61.1°, intensity 18, hkl 3 2 3

Atomic structure:
```
data_Sm4Dy3Ho5
_symmetry_space_group_name_H-M 'P -1'
_symmetry_Int_Tables_number 2
_symmetry_space_group_name_Hall '-P 1'
_cell_length_a 6.1697
_cell_length_b 7.1242
_cell_length_c 8.7160
_cell_angle_alpha 90.09
_cell_angle_beta 90.03
_cell_angle_gamma 90.12
loop_
_atom_site_label
_atom_site_type_symbol
_atom_site_fract_x
_atom_site_fract_y
_atom_site_fract_z
_atom_site_occupancy
Sm1 Sm 0.1666 0.2490 0.1679 1
Sm2 Sm 0.3324 0.5000 0.8317 1
Dy1 Dy 0.0000 0.0000 0.5000 1
Dy2 Dy 0.1676 0.7515 0.1683 1
Ho1 Ho 0.0000 0.5000 0.5000 1
Ho2 Ho 0.3337 0.0000 0.8317 1
Ho3 Ho 0.4992 0.7515 0.5000 1
```

=====

Entry 5:
The following is a calculated X-ray diffraction stick pattern of Er2Hf4Ge3N2. It was derived from a DFT-relaxed cell (GGA-PBE, Alexandria), using a wavelength of 1.5418 Å.
Neutral-atom scattering factors, no anomalous dispersion.

The 6 most intense peaks (2θ from 5° to 70°), low angle first:
30.4°, intensity 67, hkl 1 1 2
31.6°, intensity 26, hkl 0 0 8
38.0°, intensity 100, hkl 1 1 6
41.9°, intensity 57, hkl 2 0 0
53.5°, intensity 24, hkl 2 0 8
60.8°, intensity 19, hkl 2 2 0

Atomic structure:
```
data_Er2Hf4Ge3N2
_symmetry_space_group_name_H-M 'I 4/m m m'
_symmetry_Int_Tables_number 139
_symmetry_space_group_name_Hall '-I 4 2'
_cell_length_a 4.3088
_cell_length_b 4.3088
_cell_length_c 22.6250
_cell_angle_alpha 90.00
_cell_angle_beta 90.00
_cell_angle_gamma 90.00
loop_
_atom_site_label
_atom_site_type_symbol
_atom_site_fract_x
_atom_site_fract_y
_atom_site_fract_z
_atom_site_occupancy
Er1 Er 0.0000 0.0000 0.1951 1
Hf1 Hf 0.0000 0.5000 0.0786 1
Ge1 Ge 0.0000 0.0000 0.3277 1
Ge2 Ge 0.0000 0.0000 0.5000 1
N1 N 0.0000 0.0000 0.0908 1
```

=====

Entry 6:
The following is a calculated X-ray diffraction stick pattern of CaHg3Bi3. It was derived from a DFT-relaxed cell (GGA-PBE, Alexandria), using a wavelength of 1.5418 Å.
Neutral-atom scattering factors, no anomalous dispersion.

The 6 most intense peaks (2θ from 5° to 70°), low angle first:
15.2°, intensity 100, hkl 1 1 0
21.6°, intensity 36, hkl 2 0 0
26.5°, intensity 87, hkl 2 1 1
37.9°, intensity 80, hkl 2 2 2
41.0°, intensity 56, hkl 3 2 1
44.0°, intensity 45, hkl 4 0 0

Atomic structure:
```
data_CaHg3Bi3
_symmetry_space_group_name_H-M 'P m -3 n'
_symmetry_Int_Tables_number 223
_symmetry_space_group_name_Hall '-P 4n 2 3'
_cell_length_a 8.2323
_cell_length_b 8.2323
_cell_length_c 8.2323
_cell_angle_alpha 90.00
_cell_angle_beta 90.00
_cell_angle_gamma 90.00
loop_
_atom_site_label
_atom_site_type_symbol
_atom_site_fract_x
_atom_site_fract_y
_atom_site_fract_z
_atom_site_occupancy
Ca1 Ca 0.0000 0.0000 0.0000 1
Hg1 Hg 0.0000 0.2500 0.5000 1
Bi1 Bi 0.0000 0.5000 0.2500 1
```

=====

Entry 7:
The following is a calculated X-ray diffraction stick pattern of MgZn4Cu. It was derived from a DFT-relaxed cell (GGA-PBE, Alexandria), using a wavelength of 1.5418 Å.
Neutral-atom scattering factors, no anomalous dispersion.

The 6 most intense peaks (2θ from 5° to 70°), low angle first:
12.1°, intensity 50, hkl 0 0 1
39.1°, intensity 98, hkl 2 1 1
40.6°, intensity 53, hkl 1 1 2
42.6°, intensity 59, hkl 4 0 0
42.8°, intensity 100, hkl 2 0 3
44.8°, intensity 61, hkl 2 1 2

Atomic structure:
```
data_MgZn4Cu
_symmetry_space_group_name_H-M 'P m m a'
_symmetry_Int_Tables_number 51
_symmetry_space_group_name_Hall '-P 2a 2a'
_cell_length_a 8.4918
_cell_length_b 2.9599
_cell_length_c 7.3168
_cell_angle_alpha 90.00
_cell_angle_beta 90.00
_cell_angle_gamma 90.00
loop_
_atom_site_label
_atom_site_type_symbol
_atom_site_fract_x
_atom_site_fract_y
_atom_site_fract_z
_atom_site_occupancy
Mg1 Mg 0.2500 0.0000 0.0487 1
Zn1 Zn 0.0000 0.0000 0.5000 1
Zn2 Zn 0.0259 0.5000 0.8170 1
Zn3 Zn 0.2500 0.5000 0.3827 1
Cu1 Cu 0.2500 0.0000 0.6823 1
```

=====

Entry 8:
The following is a calculated X-ray diffraction stick pattern of Li6LaAu2. It was derived from a DFT-relaxed cell (GGA-PBE, Alexandria), using a wavelength of 1.5418 Å.
Neutral-atom scattering factors, no anomalous dispersion.

The 6 most intense peaks (2θ from 5° to 70°), low angle first:
7.9°, intensity 100, hkl 0 0 1
31.0°, intensity 17, hkl 1 1 0
32.1°, intensity 18, hkl 1 1 1
32.5°, intensity 22, hkl 1 0 3
39.0°, intensity 19, hkl 1 0 4
60.6°, intensity 10, hkl 2 1 4

Atomic structure:
```
data_Li6LaAu2
_symmetry_space_group_name_H-M 'P 4/m m m'
_symmetry_Int_Tables_number 123
_symmetry_space_group_name_Hall '-P 4 2'
_cell_length_a 4.0746
_cell_length_b 4.0746
_cell_length_c 11.1959
_cell_angle_alpha 90.00
_cell_angle_beta 90.00
_cell_angle_gamma 90.00
loop_
_atom_site_label
_atom_site_type_symbol
_atom_site_fract_x
_atom_site_fract_y
_atom_site_fract_z
_atom_site_occupancy
Li1 Li 0.0000 0.0000 0.0000 1
Li2 Li 0.0000 0.5000 0.2124 1
Li3 Li 0.5000 0.5000 0.0000 1
La1 La 0.0000 0.0000 0.5000 1
Au1 Au 0.5000 0.5000 0.3686 1
```

=====

Entry 9:
The following is a calculated X-ray diffraction stick pattern of BaCaEuSbO6. It was derived from a DFT-relaxed cell (GGA-PBE, Alexandria), using a wavelength of 1.5418 Å.
Neutral-atom scattering factors, no anomalous dispersion.

The 6 most intense peaks (2θ from 5° to 70°), low angle first:
18.2°, intensity 10, hkl 1 1 1
29.9°, intensity 100, hkl 2 2 0
36.8°, intensity 11, hkl 2 2 2
42.8°, intensity 31, hkl 4 0 0
53.1°, intensity 40, hkl 4 2 2
62.1°, intensity 19, hkl 4 4 0

Atomic structure:
```
data_BaCaEuSbO6
_symmetry_space_group_name_H-M 'F -4 3 m'
_symmetry_Int_Tables_number 216
_symmetry_space_group_name_Hall 'F -4 2 3'
_cell_length_a 8.4525
_cell_length_b 8.4525
_cell_length_c 8.4525
_cell_angle_alpha 90.00
_cell_angle_beta 90.00
_cell_angle_gamma 90.00
loop_
_atom_site_label
_atom_site_type_symbol
_atom_site_fract_x
_atom_site_fract_y
_atom_site_fract_z
_atom_site_occupancy
Ba1 Ba 0.0000 0.0000 0.0000 1
Ca1 Ca 0.2500 0.2500 0.2500 1
Eu1 Eu 0.0000 0.0000 0.5000 1
Sb1 Sb 0.2500 0.2500 0.7500 1
O1 O 0.0147 0.2500 0.7500 1
```

=====

Entry 10:
The following is a calculated X-ray diffraction stick pattern of BaHoZn2Si2. It was derived from a DFT-relaxed cell (GGA-PBE, Alexandria), using a wavelength of 1.5418 Å.
Neutral-atom scattering factors, no anomalous dispersion.

The 6 most intense peaks (2θ from 5° to 70°), low angle first:
24.3°, intensity 24, hkl 1 0 0
31.6°, intensity 100, hkl 0 1 2
42.8°, intensity 36, hkl 1 1 0
47.7°, intensity 16, hkl 1 0 4
54.2°, intensity 21, hkl 2 0 2
60.3°, intensity 17, hkl 1 1 4

Atomic structure:
```
data_BaHoZn2Si2
_symmetry_space_group_name_H-M 'P -3 m 1'
_symmetry_Int_Tables_number 164
_symmetry_space_group_name_Hall '-P 3 2"'
_cell_length_a 4.2248
_cell_length_b 4.2248
_cell_length_c 8.9406
_cell_angle_alpha 90.00
_cell_angle_beta 90.00
_cell_angle_gamma 120.00
loop_
_atom_site_label
_atom_site_type_symbol
_atom_site_fract_x
_atom_site_fract_y
_atom_site_fract_z
_atom_site_occupancy
Ba1 Ba 0.0000 0.0000 0.0000 1
Ho1 Ho 0.0000 0.0000 0.5000 1
Zn1 Zn 0.3333 0.6667 0.7113 1
Si1 Si 0.3333 0.6667 0.2889 1
```